This entry pairs a crystal structure of K4CdAg2 with its theoretical powder diffraction line list. Radiation: λ = 1.5418 Å (Cu Kα). Structure: DFT lattice parameters and positions (PBE).

Top 10 peaks for 10 to 80 degrees two-theta, low angle first:
(hkl)	2theta	Rel. int.
1 1 0	14.0	94
0 0 2	19.5	64
2 0 2	26.7	100
1 1 -2	27.9	28
2 2 2	28.0	26
2 0 -2	33.4	52
3 1 2	33.6	52
3 1 0	33.7	59
2 -2 0	36.6	35
1 1 4	36.9	34

Atomic structure:
```
14
Lattice="8.3619 0.0000 0.0000 2.6041 7.9462 0.0000 2.8056 2.0328 9.1183" Properties=species:S:1:pos:R:3 pbc="T T T"
K 0.0000 0.0000 0.0000
K 1.3888 1.0044 4.4045
K 6.6357 7.9262 1.2881
K 8.1105 9.0219 5.7912
K 8.1282 5.8902 9.1091
K 6.7621 4.9020 4.5173
K 9.5974 3.8368 1.2908
K 11.0953 4.8949 5.7895
Cd 11.0372 7.9940 7.7365
Cd 9.6348 6.9820 3.1553
Ag 3.8577 5.8251 2.6263
Ag 5.4825 3.9767 7.7551
Ag 4.1735 3.0238 3.1375
Ag 6.7372 1.8524 2.6269
```